(1)
Diffraction record for Nd3SmIr2. The powder diffractogram is calculated, not measured: it uses DFT lattice parameters and positions (PBE) and Cu Kα (weighted mean of Kα1 and Kα2).

Cell and atoms:
Cell: 16.6663 4.3983 11.1201 Å, 90.00 116.60 90.00°
Space group C2/m (No. 12)
One atom of each set of equivalent atoms:
Nd: 0.0539 0.0000 0.2210 (multiplicity 4)
Nd: 0.1695 0.5000 0.0306 (multiplicity 4)
Nd: 0.2105 0.0000 0.5928 (multiplicity 4)
Sm: 0.0738 0.5000 0.6672 (multiplicity 4)
Ir: 0.1176 0.5000 0.4177 (multiplicity 4)
Ir: 0.1356 0.0000 0.8448 (multiplicity 4)

Top 12 peaks for 5 to 70 degrees two-theta, sorted by position:
Position (°2θ), intensity, index
16.42, 49, 2 0 -2
23.92, 67, 4 0 0
25.88, 26, 3 1 -1
32.16, 100, 1 1 -3
32.28, 46, 6 0 -2
34.06, 18, 6 0 -3
38.35, 24, 3 1 -4
40.83, 72, 5 1 1
41.04, 39, 0 2 0
46.76, 17, 7 1 -4
53.15, 23, 6 2 -2
68.86, 18, 2 2 5


(2)
Diffraction record for MgFe2BrCl. The powder diffractogram is calculated, not measured: it uses DFT lattice parameters and positions (PBE) and Cu Kα (weighted mean of Kα1 and Kα2).

Cell and atoms:
Cell: 5.2716 5.2716 4.7177 Å, 90.00 90.00 90.00°
Space group P4/mmm (No. 123)
One atom of each set of equivalent atoms:
Mg: 0.0000 0.0000 0.0000 (multiplicity 1)
Fe: 0.0000 0.5000 0.0000 (multiplicity 2)
Br: 0.5000 0.5000 0.5000 (multiplicity 1)
Cl: 0.0000 0.0000 0.5000 (multiplicity 1)

Top 12 peaks for 5 to 70 degrees two-theta, sorted by position:
Position (°2θ), intensity, index
25.34, 18, 1 0 1
30.57, 100, 1 1 1
34.01, 57, 2 0 0
38.15, 21, 0 0 2
42.88, 9, 2 1 1
48.87, 19, 2 2 0
52.03, 32, 2 0 2
55.83, 2, 3 0 1
58.74, 28, 3 1 1
63.63, 17, 2 2 2
64.29, 10, 1 1 3
67.01, 3, 3 2 1


(3)
Diffraction record for Sr4LiY2Ru2O12. The powder diffractogram is calculated, not measured: it uses DFT lattice parameters and positions (PBE) and Cu Kα (weighted mean of Kα1 and Kα2).

Cell and atoms:
Cell: 5.8198 5.9395 8.3690 Å, 89.32 87.30 89.97°
Space group P1 (No. 1)
One atom of each set of equivalent atoms:
Sr: 0.0000 0.0000 0.0000 (multiplicity 1)
Sr: 0.0252 0.9100 0.4984 (multiplicity 1)
Sr: 0.4524 0.3850 0.4541 (multiplicity 1)
Sr: 0.5165 0.5040 0.0082 (multiplicity 1)
Li: 0.6688 0.5420 0.6785 (multiplicity 1)
Y: 0.5244 0.9754 0.7486 (multiplicity 1)
Y: 0.9914 0.4564 0.2458 (multiplicity 1)
Ru: 0.0451 0.4561 0.7515 (multiplicity 1)
Ru: 0.5015 0.9513 0.2424 (multiplicity 1)
O: 0.0970 0.4352 0.9817 (multiplicity 1)
O: 0.2137 0.1763 0.7003 (multiplicity 1)
O: 0.2220 0.1529 0.2803 (multiplicity 1)
O: 0.2974 0.6820 0.2792 (multiplicity 1)
O: 0.3428 0.6316 0.7058 (multiplicity 1)
O: 0.4364 0.9396 0.0093 (multiplicity 1)
O: 0.5766 0.9713 0.4758 (multiplicity 1)
O: 0.6958 0.2293 0.2040 (multiplicity 1)
O: 0.7479 0.2752 0.7921 (multiplicity 1)
O: 0.7700 0.7508 0.2025 (multiplicity 1)
O: 0.8440 0.7473 0.7844 (multiplicity 1)
O: 0.9368 0.4825 0.5183 (multiplicity 1)

Top 12 peaks for 5 to 70 degrees two-theta, sorted by position:
Position (°2θ), intensity, index
29.68, 45, 1 1 2
29.94, 56, 1 -1 2
30.09, 51, 0 2 0
30.74, 100, 2 0 0
30.98, 55, 1 1 -2
43.30, 32, 0 0 4
43.57, 53, 2 -2 0
53.34, 16, 0 2 4
53.52, 19, 3 -1 2
53.95, 13, 0 2 -4
55.33, 23, -3 1 2
55.48, 11, 3 1 -2


(4)
Diffraction record for Dy5ThAs6. The powder diffractogram is calculated, not measured: it uses DFT lattice parameters and positions (PBE) and Cu Kα (weighted mean of Kα1 and Kα2).

Cell and atoms:
Cell: 7.1824 12.4275 7.1795 Å, 90.00 109.51 90.00°
Space group C2/m (No. 12)
One atom of each set of equivalent atoms:
Dy: 0.0000 0.0000 0.0000 (multiplicity 2)
Dy: 0.0000 0.1667 0.5000 (multiplicity 4)
Dy: 0.0000 0.3340 0.0000 (multiplicity 4)
Th: 0.0000 0.5000 0.5000 (multiplicity 2)
As: 0.2473 0.0000 0.7513 (multiplicity 4)
As: 0.2475 0.1683 0.2472 (multiplicity 8)

Top 9 peaks for 5 to 70 degrees two-theta, sorted by position:
Position (°2θ), intensity, index
14.90, 1, 1 1 0
26.34, 27, 2 0 0
30.50, 100, 1 3 1
43.68, 75, 2 0 2
51.73, 13, 3 3 1
54.21, 26, 4 0 0
63.49, 12, 2 6 2
69.96, 5, 4 0 2
70.00, 1, 1 9 -1


(5)
Diffraction record for PrNdGeBr. The powder diffractogram is calculated, not measured: it uses DFT lattice parameters and positions (PBE) and Cu Kα (weighted mean of Kα1 and Kα2).

Cell and atoms:
Cell: 5.9812 5.1138 8.9492 Å, 90.00 90.00 90.00°
Space group Amm2 (No. 38)
One atom of each set of equivalent atoms:
Pr: 0.0000 0.0000 0.0000 (multiplicity 2)
Nd: 0.5000 0.0000 0.6684 (multiplicity 2)
Ge: 0.5000 0.0000 0.0002 (multiplicity 2)
Br: 0.0000 0.0000 0.6685 (multiplicity 2)

Top 12 peaks for 5 to 70 degrees two-theta, sorted by position:
Position (°2θ), intensity, index
19.84, 48, 0 0 2
20.00, 100, 0 1 1
24.98, 28, 1 1 1
29.88, 72, 2 0 0
34.82, 96, 0 1 3
35.10, 47, 0 2 0
36.19, 65, 2 1 1
40.64, 15, 0 2 2
46.52, 84, 2 1 3
46.74, 42, 2 2 0
51.25, 15, 2 2 2
62.78, 17, 0 3 3


(6)
Diffraction record for BiSbAs2. The powder diffractogram is calculated, not measured: it uses DFT lattice parameters and positions (PBE) and Cu Kα (weighted mean of Kα1 and Kα2).

Cell and atoms:
Cell: 4.3986 4.1817 6.0904 Å, 90.00 94.50 90.00°
Space group Pm (No. 6)
One atom of each set of equivalent atoms:
Bi: 0.0000 0.0000 0.0000 (multiplicity 1)
Sb: 0.5077 0.5000 0.4934 (multiplicity 1)
As: 0.4397 0.5000 0.0434 (multiplicity 1)
As: 0.9217 0.0000 0.5288 (multiplicity 1)

Top 12 peaks for 5 to 70 degrees two-theta, sorted by position:
Position (°2θ), intensity, index
24.08, 13, 1 0 -1
25.87, 13, 0 1 1
25.98, 7, 1 0 1
29.49, 100, 1 1 0
40.95, 24, 1 1 -2
41.17, 12, 2 0 0
43.32, 37, 0 2 0
48.20, 8, 2 1 -1
50.10, 8, 0 1 3
53.19, 13, 0 2 2
53.43, 6, 2 0 2
61.26, 7, 2 2 0


(7)
Diffraction record for LiCd3Au. The powder diffractogram is calculated, not measured: it uses DFT lattice parameters and positions (PBE) and Cu Kα (weighted mean of Kα1 and Kα2).

Cell and atoms:
Cell: 9.2633 9.5307 5.5598 Å, 90.00 115.89 90.00°
Space group C2/m (No. 12)
One atom of each set of equivalent atoms:
Li: 0.0768 0.0000 0.3054 (multiplicity 4)
Cd: 0.0836 0.5000 0.3141 (multiplicity 4)
Cd: 0.1756 0.2488 0.6950 (multiplicity 8)
Au: 0.2379 0.0000 0.9961 (multiplicity 4)

Top 12 peaks for 5 to 70 degrees two-theta, sorted by position:
Position (°2θ), intensity, index
14.12, 24, 1 1 0
20.96, 49, 2 0 -1
21.32, 55, 2 0 0
25.82, 49, 0 2 1
37.76, 53, 0 4 0
37.93, 100, 2 2 -2
38.57, 95, 2 2 1
38.90, 47, 4 0 -1
40.75, 24, 0 2 2
55.33, 33, 4 4 -1
68.27, 21, 2 6 -2
68.70, 39, 2 6 1


(8)
Diffraction record for K4YPu3O12. The powder diffractogram is calculated, not measured: it uses DFT lattice parameters and positions (PBE) and Cu Kα (weighted mean of Kα1 and Kα2).

Cell and atoms:
Cell: 8.5686 8.5686 8.5686 Å, 90.00 90.00 90.00°
Space group Im-3m (No. 229)
One atom of each set of equivalent atoms:
K: 0.2500 0.2500 0.2500 (multiplicity 8)
Y: 0.0000 0.0000 0.0000 (multiplicity 2)
Pu: 0.0000 0.0000 0.5000 (multiplicity 6)
O: 0.0000 0.0000 0.2656 (multiplicity 12)
O: 0.0000 0.2500 0.5000 (multiplicity 12)

Top 12 peaks for 5 to 70 degrees two-theta, sorted by position:
Position (°2θ), intensity, index
14.62, 14, 1 1 0
20.73, 72, 2 0 0
25.46, 8, 2 1 1
29.49, 100, 2 2 0
36.32, 9, 2 2 2
39.34, 4, 3 2 1
42.19, 31, 4 0 0
47.45, 34, 4 2 0
52.31, 41, 4 2 2
61.19, 20, 4 4 0
65.34, 17, 6 0 0
69.36, 18, 6 2 0